(1)
Starting from DFT lattice parameters and positions (GGA-PBE), the XRD peak list of TaI4Br was simulated for Cu Kα (weighted mean of Kα1 and Kα2).
No peak broadening, texture or thermal motion is included.

a = 9.7544 Å, b = 6.5068 Å, c = 7.9706 Å
α = 90.00°, β = 105.06°, γ = 90.00°
Space group P2_1/c (No. 14)
Unique sites:
Ta1 0.0000 0.0000 0.0000 x2
I1 0.1313 0.2457 0.7892 x4
I2 0.2373 0.7215 0.5754 x4
Br1 0.5000 0.0000 0.0000 x2

Main lines, in order of falling intensity (5° ≤ 2θ ≤ 70°):
- (1 0 0), d = 9.419 Å, 2θ 9.39, I 100.0
- (0 1 1), d = 4.969 Å, 2θ 17.85, I 55.4
- (2 1 -2), d = 3.049 Å, 2θ 29.29, I 37.0
- (2 2 0), d = 2.677 Å, 2θ 33.48, I 33.5
- (1 1 2), d = 2.927 Å, 2θ 30.55, I 26.4
- (2 2 -2), d = 2.369 Å, 2θ 37.98, I 26.1
- (3 1 0), d = 2.828 Å, 2θ 31.64, I 23.2
- (0 1 2), d = 3.312 Å, 2θ 26.92, I 23.1
- (4 0 2), d = 1.810 Å, 2θ 50.43, I 21.9
- (2 1 -1), d = 3.746 Å, 2θ 23.75, I 14.6
- (2 1 0), d = 3.815 Å, 2θ 23.32, I 14.5
- (4 0 -2), d = 2.291 Å, 2θ 39.33, I 13.7

---

(2)
Starting from DFT lattice parameters and positions (GGA-PBE), the XRD peak list of Tb3I7Br was simulated for Cu Kα (weighted mean of Kα1 and Kα2).
No peak broadening, texture or thermal motion is included.

a = 8.6296 Å, b = 8.6296 Å, c = 7.6510 Å
α = 90.00°, β = 90.00°, γ = 120.00°
Space group P3m1 (No. 156)
Unique sites:
Tb1 0.0027 0.5014 0.0000 x3
I1 0.1681 0.3361 0.7668 x3
I2 0.3366 0.1683 0.2317 x3
I3 0.6667 0.3333 0.7578 x1
Br1 0.3333 0.6667 0.2078 x1

Main lines, in order of falling intensity (5° ≤ 2θ ≤ 70°):
- (2 0 1), d = 3.358 Å, 2θ 26.55, I 100.0
- (2 0 2), d = 2.673 Å, 2θ 33.52, I 58.1
- (0 0 1), d = 7.651 Å, 2θ 11.57, I 44.8
- (2 2 0), d = 2.157 Å, 2θ 41.87, I 34.9
- (0 2 3), d = 2.106 Å, 2θ 42.94, I 31.8
- (0 4 1), d = 1.815 Å, 2θ 50.27, I 17.0
- (2 2 4), d = 1.431 Å, 2θ 65.18, I 15.8
- (0 4 2), d = 1.679 Å, 2θ 54.67, I 14.3
- (4 2 1), d = 1.389 Å, 2θ 67.43, I 14.0
- (2 2 1), d = 2.076 Å, 2θ 43.59, I 11.1
- (4 0 3), d = 1.507 Å, 2θ 61.53, I 10.8
- (0 1 1), d = 5.346 Å, 2θ 16.58, I 9.9

---

(3)
Starting from DFT lattice parameters and positions (GGA-PBE), the XRD peak list of TcI4Br was simulated for Cu Kα (weighted mean of Kα1 and Kα2).
No peak broadening, texture or thermal motion is included.

a = 6.8403 Å, b = 6.8701 Å, c = 6.8861 Å
α = 109.80°, β = 97.83°, γ = 91.16°
Space group P1 (No. 1)
Unique sites:
Tc1 0.0000 0.0000 0.0000 x1
I1 0.1224 0.1556 0.7406 x1
I2 0.2303 0.3155 0.3200 x1
I3 0.6905 0.1477 0.1592 x1
I4 0.7896 0.6940 0.6938 x1
Br1 0.1783 0.7602 0.1264 x1

Main lines, in order of falling intensity (5° ≤ 2θ ≤ 70°):
- (1 1 1), d = 3.203 Å, 2θ 27.85, I 100.0
- (0 1 -1), d = 5.613 Å, 2θ 15.79, I 77.0
- (1 0 0), d = 6.759 Å, 2θ 13.10, I 64.3
- (0 1 0), d = 6.435 Å, 2θ 13.76, I 59.1
- (0 2 -2), d = 2.807 Å, 2θ 31.88, I 46.4
- (2 0 0), d = 3.380 Å, 2θ 26.37, I 33.8
- (-1 1 1), d = 3.610 Å, 2θ 24.66, I 33.5
- (1 -1 0), d = 4.841 Å, 2θ 18.33, I 32.6
- (2 1 -2), d = 2.547 Å, 2θ 35.23, I 31.8
- (2 -1 0), d = 3.084 Å, 2θ 28.95, I 30.7
- (1 -1 1), d = 4.174 Å, 2θ 21.29, I 26.2
- (1 0 -1), d = 5.048 Å, 2θ 17.57, I 23.5

---

(4)
Starting from DFT lattice parameters and positions (GGA-PBE), the XRD peak list of TcIBr was simulated for Cu Kα (weighted mean of Kα1 and Kα2).
No peak broadening, texture or thermal motion is included.

a = 11.8310 Å, b = 6.8606 Å, c = 5.6094 Å
α = 90.00°, β = 114.58°, γ = 90.00°
Space group C2 (No. 5)
Unique sites:
Tc1 0.0756 0.0000 0.4346 x4
I1 0.2470 0.2527 0.7304 x4
Br1 0.0000 0.1794 0.0000 x2
Br2 0.0000 0.6591 0.5000 x2

Main lines, in order of falling intensity (5° ≤ 2θ ≤ 70°):
- (1 1 1), d = 3.461 Å, 2θ 25.74, I 100.0
- (3 1 -1), d = 3.298 Å, 2θ 27.04, I 89.3
- (1 1 0), d = 5.785 Å, 2θ 15.32, I 59.8
- (4 2 0), d = 2.117 Å, 2θ 42.71, I 48.5
- (2 2 0), d = 2.892 Å, 2θ 30.92, I 36.9
- (0 0 1), d = 5.101 Å, 2θ 17.38, I 35.8
- (2 0 -2), d = 2.799 Å, 2θ 31.98, I 25.0
- (2 2 -2), d = 2.169 Å, 2θ 41.65, I 24.8
- (2 0 2), d = 2.004 Å, 2θ 45.24, I 23.0
- (1 3 1), d = 1.986 Å, 2θ 45.67, I 22.9
- (5 1 -1), d = 2.237 Å, 2θ 40.32, I 21.1
- (0 2 2), d = 2.046 Å, 2θ 44.27, I 20.7

---

(5)
Starting from DFT lattice parameters and positions (GGA-PBE), the XRD peak list of TcIBr2 was simulated for Cu Kα (weighted mean of Kα1 and Kα2).
No peak broadening, texture or thermal motion is included.

a = 6.5304 Å, b = 6.4122 Å, c = 13.1561 Å
α = 90.00°, β = 119.75°, γ = 90.00°
Space group P2_1/c (No. 14)
Unique sites:
Tc1 0.1625 0.0002 0.4125 x4
I1 0.1818 0.2494 0.7502 x4
Br1 0.1478 0.7220 0.0745 x4
Br2 0.4985 0.7216 0.9252 x4

Main lines, in order of falling intensity (5° ≤ 2θ ≤ 70°):
- (1 1 2), d = 2.927 Å, 2θ 30.55, I 100.0
- (0 1 1), d = 5.591 Å, 2θ 15.85, I 47.7
- (2 1 -2), d = 2.910 Å, 2θ 30.73, I 37.3
- (1 2 -4), d = 2.296 Å, 2θ 39.24, I 36.8
- (3 0 -6), d = 1.890 Å, 2θ 48.15, I 30.1
- (2 2 -2), d = 2.288 Å, 2θ 39.39, I 28.6
- (1 3 2), d = 1.792 Å, 2θ 50.96, I 20.5
- (1 0 -2), d = 5.669 Å, 2θ 15.63, I 20.2
- (1 1 -3), d = 3.571 Å, 2θ 24.94, I 16.3
- (0 2 0), d = 3.206 Å, 2θ 27.83, I 15.4
- (0 0 6), d = 1.904 Å, 2θ 47.78, I 15.4
- (2 2 4), d = 1.463 Å, 2θ 63.58, I 13.0

---

(6)
Starting from DFT lattice parameters and positions (GGA-PBE), the XRD peak list of Tc2I4Br3 was simulated for Cu Kα (weighted mean of Kα1 and Kα2).
No peak broadening, texture or thermal motion is included.

a = 14.3889 Å, b = 10.9642 Å, c = 8.0953 Å
α = 90.00°, β = 108.59°, γ = 90.00°
Space group C2/c (No. 15)
Unique sites:
Tc1 0.1770 0.1727 0.3648 x8
I1 0.1354 0.3014 0.6050 x8
I2 0.2047 0.0461 0.0414 x8
Br1 0.0000 0.0761 0.2500 x4
Br2 0.1157 0.3366 0.1492 x8

Main lines, in order of falling intensity (5° ≤ 2θ ≤ 70°):
- (1 1 -1), d = 6.377 Å, 2θ 13.89, I 100.0
- (2 0 0), d = 6.819 Å, 2θ 12.98, I 86.0
- (1 3 -2), d = 2.712 Å, 2θ 33.03, I 76.4
- (1 3 1), d = 3.111 Å, 2θ 28.69, I 69.1
- (3 1 -2), d = 3.369 Å, 2θ 26.45, I 68.6
- (5 1 0), d = 2.647 Å, 2θ 33.86, I 57.7
- (4 2 0), d = 2.895 Å, 2θ 30.88, I 57.5
- (2 0 2), d = 2.964 Å, 2θ 30.15, I 52.7
- (1 3 2), d = 2.497 Å, 2θ 35.97, I 45.7
- (2 2 -2), d = 3.189 Å, 2θ 27.98, I 40.5
- (2 2 -3), d = 2.418 Å, 2θ 37.19, I 40.4
- (0 2 1), d = 4.461 Å, 2θ 19.90, I 38.1

---

(7)
Starting from DFT lattice parameters and positions (GGA-PBE), the XRD peak list of TeIBr2 was simulated for Cu Kα (weighted mean of Kα1 and Kα2).
No peak broadening, texture or thermal motion is included.

a = 8.2639 Å, b = 6.4518 Å, c = 12.5723 Å
α = 90.00°, β = 90.00°, γ = 90.00°
Space group Pnna (No. 52)
Unique sites:
Te1 0.2500 0.0000 0.0792 x4
I1 0.0699 0.2500 0.2500 x4
Br1 0.1142 0.2361 0.9353 x8

Main lines, in order of falling intensity (5° ≤ 2θ ≤ 70°):
- (1 1 3), d = 3.233 Å, 2θ 27.59, I 100.0
- (2 1 0), d = 3.480 Å, 2θ 25.60, I 68.5
- (1 2 3), d = 2.442 Å, 2θ 36.80, I 59.4
- (0 1 1), d = 5.740 Å, 2θ 15.44, I 50.3
- (3 0 3), d = 2.302 Å, 2θ 39.13, I 45.5
- (1 1 2), d = 3.954 Å, 2θ 22.49, I 26.4
- (1 0 1), d = 6.906 Å, 2θ 12.82, I 24.6
- (2 2 0), d = 2.543 Å, 2θ 35.30, I 22.2
- (2 1 1), d = 3.353 Å, 2θ 26.58, I 21.1
- (1 1 1), d = 4.714 Å, 2θ 18.82, I 17.8
- (2 0 2), d = 3.453 Å, 2θ 25.80, I 17.3
- (1 3 3), d = 1.864 Å, 2θ 48.86, I 17.3

---

(8)
Starting from DFT lattice parameters and positions (GGA-PBE), the XRD peak list of VTeI2Br was simulated for Cu Kα (weighted mean of Kα1 and Kα2).
No peak broadening, texture or thermal motion is included.

a = 5.3743 Å, b = 5.3743 Å, c = 5.2223 Å
α = 90.00°, β = 90.00°, γ = 90.00°
Space group P4/mmm (No. 123)
Unique sites:
V1 0.0000 0.0000 0.0000 x1
Te1 0.0000 0.0000 0.5000 x1
I1 0.0000 0.5000 0.0000 x2
Br1 0.5000 0.5000 0.5000 x1

Main lines, in order of falling intensity (5° ≤ 2θ ≤ 70°):
- (1 1 1), d = 3.073 Å, 2θ 29.06, I 100.0
- (2 0 0), d = 2.687 Å, 2θ 33.34, I 54.1
- (2 0 2), d = 1.873 Å, 2θ 48.62, I 36.6
- (3 1 1), d = 1.616 Å, 2θ 56.98, I 29.6
- (0 0 2), d = 2.611 Å, 2θ 34.34, I 25.0
- (2 2 0), d = 1.900 Å, 2θ 47.87, I 19.2
- (2 2 2), d = 1.536 Å, 2θ 60.24, I 19.0
- (1 1 3), d = 1.583 Å, 2θ 58.30, I 13.8
- (1 0 0), d = 5.374 Å, 2θ 16.49, I 10.5
- (0 0 1), d = 5.222 Å, 2θ 16.98, I 5.3
- (2 0 1), d = 2.389 Å, 2θ 37.65, I 2.7
- (2 1 0), d = 2.403 Å, 2θ 37.42, I 2.6